Entry 1:
Starting from a crystal structure in the Materials Project, relaxed with GGA+U, the powder diffractogram of CrP2O8 was simulated for Cu Ka.
No peak broadening, texture or thermal motion is included.

Crystal structure
Cell lengths 4.7761, 8.9466, 14.3476 Å; angles 90.00, 93.94, 90.00 degrees
Sites, in units of the cell vectors:
1 Cr 0.1382 0.0671 0.3442
2 Cr 0.1382 0.4329 0.8442
3 Cr 0.8618 0.5671 0.1558
4 Cr 0.8618 0.9329 0.6558
5 P 0.3487 0.1001 0.7653
6 P 0.3487 0.3999 0.2653
7 P 0.3660 0.7218 0.5722
8 P 0.3660 0.7782 0.0722
9 P 0.6340 0.2218 0.9278
10 P 0.6340 0.2782 0.4278
11 P 0.6513 0.6001 0.7347
12 P 0.6513 0.8999 0.2347
13 O 0.0258 0.5534 0.9141
14 O 0.0258 0.9466 0.4141
15 O 0.0880 0.5027 0.2656
16 O 0.0880 0.9973 0.7656
17 O 0.1351 0.7183 0.1328
18 O 0.1351 0.7817 0.6328
19 O 0.2387 0.6660 0.4789
20 O 0.2387 0.8340 0.9789
21 O 0.2737 0.2357 0.2506
22 O 0.2737 0.2643 0.7506
23 O 0.3973 0.1640 0.4372
24 O 0.3973 0.3360 0.9372
25 O 0.4520 0.5453 0.8064
26 O 0.4520 0.9547 0.3064
27 O 0.4981 0.5812 0.6314
28 O 0.4981 0.9188 0.1314
29 O 0.5019 0.0812 0.8686
30 O 0.5019 0.4188 0.3686
31 O 0.5480 0.0453 0.6936
32 O 0.5480 0.4547 0.1936
33 O 0.6027 0.6640 0.0628
34 O 0.6027 0.8360 0.5628
35 O 0.7263 0.7357 0.2494
36 O 0.7263 0.7643 0.7494
37 O 0.7613 0.1660 0.0211
38 O 0.7613 0.3340 0.5211
39 O 0.8649 0.2183 0.3672
40 O 0.8649 0.2817 0.8672
41 O 0.9120 0.0027 0.2344
42 O 0.9120 0.4973 0.7344
43 O 0.9742 0.0534 0.5859
44 O 0.9742 0.4466 0.0859

Principal peaks in the range 2θ = 10–80°, by angle:
2θ (°)  intensity
11.66  32
12.37  34
15.86  100
21.10  21
22.39  15
23.45  25
23.88  35
27.38  37
27.77  40
30.65  20

=====

Entry 2:
Starting from a crystal structure in the Materials Project, relaxed with GGA+U, the powder diffractogram of Ca2PdWO6 was simulated for Cu Ka.
No peak broadening, texture or thermal motion is included.

Crystal structure
Cell lengths 5.7536, 5.7536, 5.7536 Å; angles 60.00, 60.00, 60.00 degrees
Sites, in units of the cell vectors:
1 Ca 0.2500 0.2500 0.2500
2 Ca 0.7500 0.7500 0.7500
3 Pd 0.0000 0.0000 0.0000
4 W 0.5000 0.5000 0.5000
5 O 0.2627 0.2627 0.7373
6 O 0.2627 0.7373 0.2627
7 O 0.2627 0.7373 0.7373
8 O 0.7373 0.2627 0.2627
9 O 0.7373 0.2627 0.7373
10 O 0.7373 0.7373 0.2627

Principal peaks in the range 2θ = 10–80°, by angle:
2θ (°)  intensity
18.89  12
21.85  59
31.09  100
36.63  5
44.54  34
50.14  25
55.31  39
64.82  20
69.29  12
73.63  17